The following is a computed powder diffraction line list of IrS2Cl3O7. It was derived from a cell relaxed with PBE, using copper Kα.
Lines closer than 0.1° are merged.

Cell and atoms:
Lattice parameters (Å, degrees): 8.498 10.275 12.756 90.00 94.64 90.00
Fractional coordinates of all 26 atoms:
1 Ir 0.208 0.250 0.399
2 Ir 0.792 0.750 0.601
3 S 0.117 0.750 0.618
4 S 0.448 0.250 0.148
5 S 0.552 0.750 0.852
6 S 0.883 0.250 0.382
7 Cl 0.226 0.036 0.367
8 Cl 0.226 0.464 0.367
9 Cl 0.448 0.250 0.483
10 Cl 0.552 0.750 0.517
11 Cl 0.774 0.536 0.633
12 Cl 0.774 0.964 0.633
13 O 0.007 0.250 0.298
14 O 0.025 0.250 0.480
15 O 0.202 0.629 0.615
16 O 0.202 0.871 0.615
17 O 0.335 0.250 0.059
18 O 0.496 0.629 0.806
19 O 0.496 0.871 0.806
20 O 0.504 0.129 0.194
21 O 0.504 0.371 0.194
22 O 0.665 0.750 0.941
23 O 0.798 0.129 0.385
24 O 0.798 0.371 0.385
25 O 0.975 0.750 0.520
26 O 0.993 0.750 0.702

The 10 most intense peaks (10° ≤ 2θ ≤ 80°), in order of falling intensity:
two_theta  intensity
11.07  100
22.69  40
13.55  36
13.02  33
16.40  31
17.26  24
18.86  22
14.85  13
28.09  12
18.63  12

The following is a computed powder diffraction line list of Fe3Co3Si2. It was derived from a cell relaxed with PBE, using copper Kα.
Lines closer than 0.1° are merged.

Cell and atoms:
Lattice parameters (Å, degrees): 6.882 6.882 6.882 33.50 33.50 33.50
Fractional coordinates of all 8 atoms:
1 Fe 0.000 0.000 0.000
2 Fe 0.124 0.124 0.124
3 Fe 0.499 0.499 0.499
4 Co 0.374 0.374 0.374
5 Co 0.625 0.625 0.625
6 Co 0.875 0.875 0.875
7 Si 0.249 0.249 0.249
8 Si 0.750 0.750 0.750

The 7 most intense peaks (10° ≤ 2θ ≤ 80°), in order of falling intensity:
two_theta  intensity
45.71  100
66.64  15
27.52  6
31.88  4
54.19  2
75.78  1
56.81  1

The following is a computed powder diffraction line list of YMg6CdO8. It was derived from a cell relaxed with PBE, using copper Kα.
Lines closer than 0.1° are merged.

Cell and atoms:
Lattice parameters (Å, degrees): 4.508 4.508 9.183 90.00 90.00 90.00
Fractional coordinates of all 16 atoms:
1 Y 0.000 0.000 0.000
2 Mg 0.000 0.500 0.264
3 Mg 0.000 0.500 0.736
4 Mg 0.500 0.000 0.264
5 Mg 0.500 0.000 0.736
6 Mg 0.500 0.500 0.000
7 Mg 0.500 0.500 0.500
8 Cd 0.000 0.000 0.500
9 O 0.000 0.000 0.241
10 O 0.000 0.000 0.759
11 O 0.000 0.500 0.000
12 O 0.000 0.500 0.500
13 O 0.500 0.000 0.000
14 O 0.500 0.000 0.500
15 O 0.500 0.500 0.248
16 O 0.500 0.500 0.752

The 10 most intense peaks (10° ≤ 2θ ≤ 80°), in order of falling intensity:
two_theta  intensity
40.00  100
34.25  66
19.69  62
57.28  60
27.73  54
39.24  52
19.33  33
57.86  30
72.15  28
27.99  26

The following is a computed powder diffraction line list of ZrCr5P3. It was derived from a cell relaxed with PBE, using copper Kα.
Lines closer than 0.1° are merged.

Cell and atoms:
Lattice parameters (Å, degrees): 6.888 3.654 9.355 90.00 100.22 90.00
Fractional coordinates of all 18 atoms:
1 Zr 0.192 0.250 0.279
2 Zr 0.808 0.750 0.721
3 Cr 0.085 0.250 0.584
4 Cr 0.135 0.750 0.006
5 Cr 0.314 0.750 0.777
6 Cr 0.373 0.250 0.009
7 Cr 0.459 0.250 0.575
8 Cr 0.541 0.750 0.425
9 Cr 0.627 0.750 0.991
10 Cr 0.686 0.250 0.223
11 Cr 0.865 0.250 0.994
12 Cr 0.915 0.750 0.416
13 P 0.092 0.250 0.832
14 P 0.247 0.750 0.513
15 P 0.437 0.750 0.176
16 P 0.563 0.250 0.824
17 P 0.753 0.250 0.487
18 P 0.908 0.750 0.168

The 10 most intense peaks (10° ≤ 2θ ≤ 80°), in order of falling intensity:
two_theta  intensity
38.75  100
38.88  84
49.92  57
38.30  56
43.77  28
53.19  24
43.58  23
46.64  21
52.18  20
39.14  17

Repeat the first record exactly.
The following is a computed powder diffraction line list of IrS2Cl3O7. It was derived from a cell relaxed with PBE, using copper Kα.
Lines closer than 0.1° are merged.

Cell and atoms:
Lattice parameters (Å, degrees): 8.498 10.275 12.756 90.00 94.64 90.00
Fractional coordinates of all 26 atoms:
1 Ir 0.208 0.250 0.399
2 Ir 0.792 0.750 0.601
3 S 0.117 0.750 0.618
4 S 0.448 0.250 0.148
5 S 0.552 0.750 0.852
6 S 0.883 0.250 0.382
7 Cl 0.226 0.036 0.367
8 Cl 0.226 0.464 0.367
9 Cl 0.448 0.250 0.483
10 Cl 0.552 0.750 0.517
11 Cl 0.774 0.536 0.633
12 Cl 0.774 0.964 0.633
13 O 0.007 0.250 0.298
14 O 0.025 0.250 0.480
15 O 0.202 0.629 0.615
16 O 0.202 0.871 0.615
17 O 0.335 0.250 0.059
18 O 0.496 0.629 0.806
19 O 0.496 0.871 0.806
20 O 0.504 0.129 0.194
21 O 0.504 0.371 0.194
22 O 0.665 0.750 0.941
23 O 0.798 0.129 0.385
24 O 0.798 0.371 0.385
25 O 0.975 0.750 0.520
26 O 0.993 0.750 0.702

The 10 most intense peaks (10° ≤ 2θ ≤ 80°), in order of falling intensity:
two_theta  intensity
11.07  100
22.69  40
13.55  36
13.02  33
16.40  31
17.26  24
18.86  22
14.85  13
28.09  12
18.63  12